[1]
# SmThCd17
Computed powder XRD pattern, copper Kα. Input: a DFT-relaxed cell (PBE, Alexandria).
Intensities are scaled so that the largest is 1000.

Principal peaks in the range 2θ = 5–70°, most intense first:
h k l, 2θ/deg, I_rel
0 3 3, 35.68, 1000
2 2 0, 35.55, 406
3 0 0, 30.66, 358
2 2 3, 40.04, 303
0 0 6, 36.07, 279
2 0 5, 36.42, 220
0 3 9, 64.61, 197
0 2 4, 31.50, 183
6 0 0, 63.85, 141
1 1 3, 25.11, 104

Cell and atoms:
a b c (Å): 10.1002 10.1002 14.9395
angles (deg): 90.00 90.00 120.00
Space group R3m (No. 160, hexagonal axes)
One atom of each set of equivalent atoms:
Sm 0.0000 0.0000 0.0000 x3
Th 0.0000 0.0000 0.3365 x3
Cd 0.0000 0.0000 0.5631 x3
Cd 0.0000 0.0000 0.7602 x3
Cd 0.0313 0.3637 0.3332 x18
Cd 0.1749 0.3497 0.1460 x9
Cd 0.1805 0.3611 0.5049 x9
Cd 0.1911 0.3821 0.8470 x9

[2]
# Sm3Tl2Cd3
Computed powder XRD pattern, copper Kα. Input: a DFT-relaxed cell (PBE, Alexandria).
Intensities are scaled so that the largest is 1000.

Principal peaks in the range 2θ = 5–70°, most intense first:
h k l, 2θ/deg, I_rel
3 1 1, 32.59, 1000
2 0 -2, 34.92, 214
0 2 0, 39.52, 153
8 0 0, 38.84, 141
2 2 -2, 53.75, 124
3 3 1, 67.34, 122
8 2 0, 56.61, 94
1 1 3, 61.06, 83
7 1 -3, 61.24, 82
2 0 0, 9.54, 76

Cell and atoms:
a b c (Å): 19.2264 4.5601 5.1394
angles (deg): 90.00 105.24 90.00
Space group C2/m (No. 12)
One atom of each set of equivalent atoms:
Sm 0.0000 0.0000 0.0000 x2
Sm 0.1346 0.0000 0.6316 x4
Tl 0.2412 0.0000 0.2387 x4
Cd 0.0000 0.5000 0.5000 x2
Cd 0.1235 0.5000 0.1201 x4

[3]
# Sm3Tl3Cd2
Computed powder XRD pattern, copper Kα. Input: a DFT-relaxed cell (PBE, Alexandria).
Intensities are scaled so that the largest is 1000.

Principal peaks in the range 2θ = 5–70°, most intense first:
h k l, 2θ/deg, I_rel
1 3 3, 34.04, 1000
1 1 4, 30.30, 716
2 0 0, 37.55, 361
1 3 0, 29.35, 151
3 3 3, 65.54, 148
1 3 1, 29.90, 132
0 2 5, 32.15, 121
1 3 4, 37.32, 119
1 1 10, 62.46, 111
0 4 4, 38.04, 109

Cell and atoms:
a b c (Å): 4.7902 11.8228 15.7810
angles (deg): 90.00 90.00 90.00
Space group Cmcm (No. 63)
One atom of each set of equivalent atoms:
Sm 0.0000 0.0712 0.1141 x8
Sm 0.0000 0.3394 0.2500 x4
Tl 0.0000 0.3786 0.7500 x4
Tl 0.0000 0.3916 0.0484 x8
Cd 0.0000 0.2244 0.6002 x8

[4]
# SmTlCd
Computed powder XRD pattern, copper Kα. Input: a DFT-relaxed cell (PBE, Alexandria).
Intensities are scaled so that the largest is 1000.

Principal peaks in the range 2θ = 5–70°, most intense first:
h k l, 2θ/deg, I_rel
1 0 1, 31.80, 1000
1 1 0, 35.90, 778
0 2 1, 48.71, 307
2 1 1, 61.97, 298
1 1 2, 62.44, 279
3 0 0, 64.52, 140
1 1 1, 43.68, 108
0 0 2, 49.26, 95
0 0 1, 24.05, 86
1 0 0, 20.50, 75

Cell and atoms:
a b c (Å): 5.0029 5.0029 3.6999
angles (deg): 90.00 90.00 120.00
Space group P3m1 (No. 156)
One atom of each set of equivalent atoms:
Sm 0.0000 0.0000 0.0000 x1
Tl 0.3333 0.6667 0.5389 x1
Cd 0.6667 0.3333 0.4761 x1

[5]
# Sm5Tl4Cd
Computed powder XRD pattern, copper Kα. Input: a DFT-relaxed cell (PBE, Alexandria).
Intensities are scaled so that the largest is 1000.

Principal peaks in the range 2θ = 5–70°, most intense first:
h k l, 2θ/deg, I_rel
1 0 5, 32.80, 1000
1 1 0, 33.04, 494
2 1 5, 58.85, 379
1 1 10, 58.40, 191
2 0 0, 47.42, 181
2 0 10, 68.76, 117
0 0 10, 46.71, 92
2 2 0, 69.31, 59
1 0 4, 29.67, 11
1 0 0, 23.20, 11

Cell and atoms:
a b c (Å): 3.8345 3.8345 19.4473
angles (deg): 90.00 90.00 90.00
Space group P4/mmm (No. 123)
One atom of each set of equivalent atoms:
Sm 0.0000 0.0000 0.0000 x1
Sm 0.0000 0.0000 0.2014 x2
Sm 0.0000 0.0000 0.4037 x2
Tl 0.5000 0.5000 0.1007 x2
Tl 0.5000 0.5000 0.3041 x2
Cd 0.5000 0.5000 0.5000 x1

[6]
# Sm3TlCd4
Computed powder XRD pattern, copper Kα. Input: a DFT-relaxed cell (PBE, Alexandria).
Intensities are scaled so that the largest is 1000.

Principal peaks in the range 2θ = 5–70°, most intense first:
h k l, 2θ/deg, I_rel
1 1 2, 29.72, 1000
0 2 4, 34.07, 893
0 4 0, 35.35, 489
1 3 2, 39.08, 475
1 2 3, 37.38, 463
2 2 4, 61.71, 314
1 2 1, 30.97, 263
1 5 2, 53.70, 195
2 0 0, 49.79, 190
2 4 0, 62.53, 183

Cell and atoms:
a b c (Å): 3.6628 10.1569 12.3057
angles (deg): 90.00 90.00 90.00
Space group Immm (No. 71)
One atom of each set of equivalent atoms:
Sm 0.0000 0.0000 0.0000 x2
Sm 0.0000 0.5000 0.2144 x4
Tl 0.0000 0.0000 0.5000 x2
Cd 0.0000 0.2616 0.3725 x8

[7]
# Sm4TlCd3
Computed powder XRD pattern, copper Kα. Input: a DFT-relaxed cell (PBE, Alexandria).
Intensities are scaled so that the largest is 1000.

Principal peaks in the range 2θ = 5–70°, most intense first:
h k l, 2θ/deg, I_rel
1 1 4, 32.98, 1000
2 0 0, 33.32, 491
3 1 4, 59.33, 367
2 0 8, 58.68, 189
2 2 0, 47.84, 179
2 2 8, 69.18, 115
0 0 8, 46.83, 93
4 0 0, 69.97, 57
1 0 1, 17.45, 23
1 0 3, 23.87, 13

Cell and atoms:
a b c (Å): 5.3779 5.3779 15.5200
angles (deg): 90.00 90.00 90.00
Space group I4/mmm (No. 139)
One atom of each set of equivalent atoms:
Sm 0.0000 0.5000 0.1266 x8
Tl 0.0000 0.0000 0.0000 x2
Cd 0.0000 0.0000 0.2509 x4
Cd 0.0000 0.0000 0.5000 x2

[8]
# Sm4Tl2Cd
Computed powder XRD pattern, copper Kα. Input: a DFT-relaxed cell (PBE, Alexandria).
Intensities are scaled so that the largest is 1000.

Principal peaks in the range 2θ = 5–70°, most intense first:
h k l, 2θ/deg, I_rel
1 2 -1, 29.78, 1000
1 1 -3, 32.04, 966
2 0 1, 30.85, 873
2 1 0, 28.85, 812
0 2 2, 33.84, 763
0 2 0, 26.58, 758
0 0 3, 31.01, 676
2 2 -1, 36.04, 655
2 1 -3, 35.29, 623
1 2 1, 32.86, 609

Cell and atoms:
a b c (Å): 7.4595 6.7066 9.2374
angles (deg): 90.00 110.71 90.00
Space group P2_1/m (No. 11)
One atom of each set of equivalent atoms:
Sm 0.0790 0.2500 0.0493 x2
Sm 0.1656 0.0065 0.7241 x4
Sm 0.3225 0.7500 0.3427 x2
Tl 0.2172 0.2500 0.4386 x2
Tl 0.4362 0.7500 0.0392 x2
Cd 0.4972 0.2500 0.2872 x2

[9]
# Sm2Tl3Cd
Computed powder XRD pattern, copper Kα. Input: a DFT-relaxed cell (PBE, Alexandria).
Intensities are scaled so that the largest is 1000.

Principal peaks in the range 2θ = 5–70°, most intense first:
h k l, 2θ/deg, I_rel
2 0 4, 31.90, 1000
0 4 0, 35.11, 920
4 4 0, 62.83, 344
2 4 4, 48.16, 318
2 6 2, 60.96, 208
2 4 0, 43.31, 172
2 0 0, 24.54, 127
0 6 6, 62.95, 113
4 0 0, 50.32, 112
2 2 10, 61.04, 105

Cell and atoms:
a b c (Å): 7.2537 10.2360 17.6839
angles (deg): 90.00 90.00 90.00
Space group Fmmm (No. 69)
One atom of each set of equivalent atoms:
Sm 0.2484 0.0000 0.0000 x8
Sm 0.2500 0.2500 0.2500 x8
Tl 0.0000 0.0000 0.1695 x8
Tl 0.0000 0.2456 0.4151 x16
Cd 0.0000 0.0000 0.3333 x8

[10]
# Sm5TlCd4
Computed powder XRD pattern, copper Kα. Input: a DFT-relaxed cell (PBE, Alexandria).
Intensities are scaled so that the largest is 1000.

Principal peaks in the range 2θ = 5–70°, most intense first:
h k l, 2θ/deg, I_rel
1 0 5, 33.02, 1000
1 1 0, 33.29, 493
2 1 5, 59.32, 367
1 1 10, 58.80, 184
2 0 0, 47.80, 178
2 0 10, 69.28, 112
0 0 10, 46.99, 91
2 2 0, 69.91, 56
1 0 4, 29.88, 13
0 0 2, 9.15, 10

Cell and atoms:
a b c (Å): 3.8060 3.8060 19.3365
angles (deg): 90.00 90.00 90.00
Space group P4/mmm (No. 123)
One atom of each set of equivalent atoms:
Sm 0.0000 0.0000 0.0000 x1
Sm 0.0000 0.0000 0.1979 x2
Sm 0.0000 0.0000 0.3958 x2
Tl 0.5000 0.5000 0.5000 x1
Cd 0.5000 0.5000 0.0994 x2
Cd 0.5000 0.5000 0.2958 x2

[11]
# Sm4TlCd2
Computed powder XRD pattern, copper Kα. Input: a DFT-relaxed cell (PBE, Alexandria).
Intensities are scaled so that the largest is 1000.

Principal peaks in the range 2θ = 5–70°, most intense first:
h k l, 2θ/deg, I_rel
1 1 0, 33.50, 1000
0 1 8, 33.99, 885
1 2 8, 60.21, 338
2 0 8, 48.47, 325
3 0 0, 59.89, 187
1 0 7, 31.11, 161
1 0 16, 61.14, 124
0 1 5, 25.91, 121
0 0 3, 10.34, 120
1 0 1, 19.47, 110

Cell and atoms:
a b c (Å): 5.3496 5.3496 25.6671
angles (deg): 90.00 90.00 120.00
Space group R-3m (No. 166, hexagonal axes)
One atom of each set of equivalent atoms:
Sm 0.0000 0.0000 0.1164 x6
Sm 0.0000 0.0000 0.3698 x6
Tl 0.0000 0.0000 0.5000 x3
Cd 0.0000 0.0000 0.2461 x6

[12]
# Sm5Tl3Cd
Computed powder XRD pattern, copper Kα. Input: a DFT-relaxed cell (PBE, Alexandria).
Intensities are scaled so that the largest is 1000.

Principal peaks in the range 2θ = 5–70°, most intense first:
h k l, 2θ/deg, I_rel
1 1 2, 32.41, 1000
3 0 0, 32.65, 971
3 0 4, 64.55, 378
2 1 1, 31.64, 344
2 2 2, 46.66, 297
4 1 2, 58.11, 246
3 1 1, 41.75, 142
0 0 2, 26.25, 138
4 2 1, 61.14, 134
3 0 2, 42.36, 118

Cell and atoms:
a b c (Å): 9.5021 9.5021 6.7912
angles (deg): 90.00 90.00 120.00
Space group P6_3/mcm (No. 193)
One atom of each set of equivalent atoms:
Sm 0.0000 0.2900 0.2500 x6
Sm 0.3333 0.6667 0.0000 x4
Tl 0.0000 0.3703 0.7500 x6
Cd 0.0000 0.0000 0.0000 x2

[13]
# Sm4Tm5Cd
Computed powder XRD pattern, copper Kα. Input: a DFT-relaxed cell (PBE, Alexandria).
Intensities are scaled so that the largest is 1000.

Principal peaks in the range 2θ = 5–70°, most intense first:
h k l, 2θ/deg, I_rel
1 0 5, 31.22, 1000
1 1 0, 35.63, 389
2 1 5, 61.26, 293
1 1 10, 52.56, 169
2 0 0, 51.27, 138
0 0 10, 37.34, 113
2 0 10, 65.12, 89
1 0 14, 59.68, 71
1 1 9, 49.70, 55
1 0 15, 63.55, 54

Cell and atoms:
a b c (Å): 3.5639 3.5639 24.0843
angles (deg): 90.00 90.00 90.00
Space group P4/mmm (No. 123)
One atom of each set of equivalent atoms:
Sm 0.0000 0.0000 0.1038 x2
Sm 0.0000 0.0000 0.3122 x2
Tm 0.5000 0.5000 0.0000 x1
Tm 0.5000 0.5000 0.2081 x2
Tm 0.5000 0.5000 0.4160 x2
Cd 0.0000 0.0000 0.5000 x1